Structure and simulated powder XRD pattern of Pm2Be3ZnIr4 (a DFT-relaxed cell (PBE, Alexandria); λ = 1.5418 Å (Cu Kα)).
Kinematic intensities with the Lorentz-polarization factor, no thermal factor.

Crystal structure
```
data_Pm2Be3ZnIr4
_space_group_name_H-M_alt 'P -4 m 2'
_space_group_IT_number 115
_space_group_name_Hall 'P -4 -2'
_cell_length_a 4.038
_cell_length_b 4.038
_cell_length_c 9.908
_cell_angle_alpha 90.00
_cell_angle_beta 90.00
_cell_angle_gamma 90.00
loop_
_atom_site_label
_atom_site_type_symbol
_atom_site_fract_x
_atom_site_fract_y
_atom_site_fract_z
Pm1 Pm 0.000 0.500 0.242
Be1 Be 0.000 0.500 0.883
Be2 Be 0.500 0.500 0.500
Zn1 Zn 0.000 0.000 0.500
Ir1 Ir 0.000 0.000 0.000
Ir2 Ir 0.000 0.500 0.645
Ir3 Ir 0.500 0.500 0.000
```

Peak list (10 most intense, 2θ from 15° to 90°, in order of rising 2θ)
- d = 3.303 Å, rel. 25, (0 0 3)
- d = 3.130 Å, rel. 38, (1 0 2)
- d = 2.744 Å, rel. 46, (1 1 1)
- d = 2.556 Å, rel. 31, (1 0 3)
- d = 2.474 Å, rel. 100, (1 1 2)
- d = 2.019 Å, rel. 48, (2 0 0)
- d = 1.779 Å, rel. 23, (1 0 5)
- d = 1.428 Å, rel. 21, (2 2 0)
- d = 1.335 Å, rel. 19, (2 1 5)
- d = 1.237 Å, rel. 24, (3 1 2)